Structure and simulated XRD peak list of SiH3Pd6 (a DFT-relaxed cell (GGA-PBE, Alexandria); Cu Kα (weighted mean of Kα1 and Kα2)).
Peak positions follow from Bragg's law for the DFT cell and can differ from measured ones.

Structure:
abc: 2.961 5.969 13.228
angles: 90.00 90.00 90.00
Space group Pmn2_1 (No. 31)
Unique sites:
1 Si 0.000 0.247 0.000 x2
2 H 0.000 0.278 0.516 x2
3 H 0.000 0.556 0.728 x2
4 H 0.000 0.944 0.275 x2
5 Pd 0.000 0.248 0.771 x2
6 Pd 0.000 0.253 0.235 x2
7 Pd 0.000 0.508 0.413 x2
8 Pd 0.000 0.595 0.093 x2
9 Pd 0.000 0.904 0.911 x2
10 Pd 0.000 0.989 0.591 x2

Main lines, by angle (10° ≤ 2θ ≤ 80°):
2θ/deg	d_spacing	Rel. int.	index
32.92	2.720	510	0 2 2
34.49	2.601	434	1 1 1
36.35	2.472	228	0 2 3
36.50	2.462	474	1 1 2
37.17	2.419	241	0 1 5
39.65	2.273	1000	1 1 3
40.72	2.216	504	0 2 4
40.94	2.205	470	0 0 6
43.75	2.069	480	1 1 4
55.65	1.651	299	1 3 0

=====

Structure and simulated XRD peak list of Sm5Co2Hg (a DFT-relaxed cell (GGA-PBE, Alexandria); Cu Kα (weighted mean of Kα1 and Kα2)).
Peak positions follow from Bragg's law for the DFT cell and can differ from measured ones.

Structure:
abc: 7.782 7.782 13.467
angles: 90.00 90.00 90.00
Space group I4/mcm (No. 140)
Unique sites:
1 Sm 0.000 0.000 0.000 x4
2 Sm 0.162 0.338 0.132 x16
3 Co 0.132 0.368 0.500 x8
4 Hg 0.000 0.000 0.250 x4

Main lines, by angle (10° ≤ 2θ ≤ 80°):
2θ/deg	d_spacing	Rel. int.	index
26.45	3.369	314	2 1 1
31.14	2.872	444	1 1 4
32.55	2.751	1000	2 2 0
35.25	2.546	565	2 0 4
36.51	2.461	748	3 1 0
42.44	2.130	257	2 1 5
52.60	1.740	249	4 2 0
54.49	1.684	373	0 0 8
57.19	1.611	293	3 3 4
67.39	1.390	356	3 1 8

=====

Structure and simulated XRD peak list of NaAlSbS4 (a DFT-relaxed cell (GGA-PBE, Alexandria); Cu Kα (weighted mean of Kα1 and Kα2)).
Peak positions follow from Bragg's law for the DFT cell and can differ from measured ones.

Structure:
abc: 7.824 11.808 7.895
angles: 90.00 90.00 90.00
Space group Cmcm (No. 63)
Unique sites:
1 Na 0.000 0.000 0.000 x4
2 Al 0.000 0.371 0.250 x4
3 Sb 0.000 0.352 0.750 x4
4 S 0.000 0.247 0.035 x8
5 S 0.220 0.497 0.250 x8

Main lines, by angle (10° ≤ 2θ ≤ 80°):
2θ/deg	d_spacing	Rel. int.	index
13.58	6.522	892	1 1 0
17.64	5.028	564	1 1 1
18.77	4.728	495	0 2 1
22.52	3.948	375	0 0 2
22.73	3.912	683	2 0 0
25.33	3.516	665	1 3 0
26.39	3.377	1000	1 1 2
27.35	3.261	559	2 2 0
41.54	2.174	536	3 3 0
44.79	2.023	1000	2 4 2